Simulated PXRD pattern
Compound: LaFe9
Radiation: Cu Kα X-rays
Structure: a DFT-relaxed cell (GGA-PBE, Alexandria)

The 10 most intense peaks (10° ≤ 2θ ≤ 90°), in order of rising 2θ:
two_theta	I_rel	h k l
28.0	14	1 1 2
33.4	20	3 1 0
38.3	26	2 2 2
40.1	19	3 2 1
41.3	100	3 1 2
43.2	45	2 1 3
45.7	23	4 1 1
47.9	36	4 2 0
70.4	15	4 2 4
71.2	14	6 0 2

Atomic structure:
```
data_LaFe9
_chemical_formula_sum 'La4 Fe36'
_cell_length_a 8.485
_cell_length_b 8.485
_cell_length_c 7.540
_cell_angle_alpha 90.00
_cell_angle_beta 90.00
_cell_angle_gamma 90.00
_symmetry_space_group_name_H-M 'I 4/m c m'
_symmetry_Int_Tables_number 140
_symmetry_space_group_name_Hall '-I 4 2c'
loop_
_atom_site_label
_atom_site_type_symbol
_atom_site_fract_x
_atom_site_fract_y
_atom_site_fract_z
La1 La 0.000 0.000 0.250
Fe1 Fe 0.000 0.500 0.000
Fe2 Fe 0.082 0.224 0.000
Fe3 Fe 0.156 0.344 0.309
```